No. 1
Computed powder diffraction line list of Fe2SnSb for Cu Kα X-rays, from DFT lattice parameters and positions (PBE).

Main lines, low angle first (5° ≤ 2θ ≤ 70°):
| (hkl) | 2θ (°) | d_spacing | I_rel |
| --- | --- | --- | --- |
| 2 0 0 | 28.23 | 3.161 | 15 |
| 2 2 0 | 40.36 | 2.235 | 100 |
| 2 2 2 | 49.98 | 1.825 | 5 |
| 4 0 0 | 58.39 | 1.580 | 16 |
| 4 2 0 | 66.10 | 1.414 | 7 |

Structural model:
Lattice parameters (Å, degrees): 6.3214 6.3214 6.3214 90.00 90.00 90.00
Space group Pm-3m (No. 221)
Inequivalent atoms, fractional coordinates:
Fe1 0.2463 0.2463 0.2463
Sn1 0.0000 0.5000 0.5000
Sn2 0.5000 0.5000 0.5000
Sb1 0.0000 0.0000 0.0000
Sb2 0.0000 0.0000 0.5000

No. 2
Computed powder diffraction line list of Zn2FeSb2 for Cu Kα X-rays, from DFT lattice parameters and positions (PBE).

Main lines, low angle first (5° ≤ 2θ ≤ 70°):
| (hkl) | 2θ (°) | d_spacing | I_rel |
| --- | --- | --- | --- |
| 1 0 0 | 25.16 | 3.540 | 26 |
| 0 1 1 | 28.08 | 3.177 | 45 |
| 0 1 2 | 35.54 | 2.526 | 100 |
| 1 1 0 | 44.32 | 2.044 | 62 |
| 1 0 3 | 45.63 | 1.988 | 36 |
| 2 0 2 | 58.06 | 1.589 | 23 |

Structural model:
Lattice parameters (Å, degrees): 4.0873 4.0873 7.2095 90.00 90.00 120.00
Space group P-3m1 (No. 164)
Inequivalent atoms, fractional coordinates:
Zn1 0.3333 0.6667 0.0936
Fe1 0.0000 0.0000 0.5000
Sb1 0.3333 0.6667 0.6854